# 1
This entry pairs a crystal structure of Pr2CoAuC with its computed XRD peak list. Radiation: CuKα. Structure: DFT lattice parameters and positions (GGA-PBE).
Intensities are scaled so that the largest is 1000.

Structural model:
```
data_Pr2CoAuC
_chemical_formula_sum 'Pr2 Co1 Au1 C1'
_cell_length_a 5.3064
_cell_length_b 5.3064
_cell_length_c 3.6585
_cell_angle_alpha 90.00
_cell_angle_beta 90.00
_cell_angle_gamma 90.00
_symmetry_space_group_name_H-M 'P 4/m m m'
_symmetry_Int_Tables_number 123
_symmetry_space_group_name_Hall '-P 4 2'
loop_
_atom_site_label
_atom_site_type_symbol
_atom_site_fract_x
_atom_site_fract_y
_atom_site_fract_z
_atom_site_occupancy
Pr1 Pr 0.0000 0.5000 0.0000 1
Co1 Co 0.0000 0.0000 0.5000 1
Au1 Au 0.5000 0.5000 0.5000 1
C1 C 0.0000 0.0000 0.0000 1
```

Peak list (10 most intense, 2θ = 5–70°, in order of falling intensity)
| hkl | two_theta | intensity |
| --- | --- | --- |
| 1 1 1 | 34.2 | 1000 |
| 2 0 0 | 33.8 | 561 |
| 3 1 1 | 60.7 | 384 |
| 2 2 0 | 48.5 | 201 |
| 2 0 2 | 61.6 | 195 |
| 1 0 0 | 16.7 | 139 |
| 1 0 1 | 29.7 | 109 |
| 0 0 2 | 49.9 | 93 |
| 2 1 1 | 45.6 | 69 |
| 2 1 0 | 37.9 | 43 |

=====

# 2
This entry pairs a crystal structure of Cu2Ni8Rh with its computed XRD peak list. Radiation: CuKα. Structure: DFT lattice parameters and positions (GGA-PBE).
Intensities are scaled so that the largest is 1000.

Structural model:
```
data_Cu2Ni8Rh
_chemical_formula_sum 'Cu4 Ni16 Rh2'
_cell_length_a 4.0488
_cell_length_b 4.6397
_cell_length_c 15.9836
_cell_angle_alpha 90.00
_cell_angle_beta 90.00
_cell_angle_gamma 90.00
_symmetry_space_group_name_H-M 'I m m m'
_symmetry_Int_Tables_number 71
_symmetry_space_group_name_Hall '-I 2 2'
loop_
_atom_site_label
_atom_site_type_symbol
_atom_site_fract_x
_atom_site_fract_y
_atom_site_fract_z
_atom_site_occupancy
Cu1 Cu 0.0000 0.0000 0.2282 1
Ni1 Ni 0.0000 0.0000 0.0811 1
Ni2 Ni 0.0000 0.2513 0.3628 1
Ni3 Ni 0.0000 0.5000 0.1726 1
Rh1 Rh 0.0000 0.5000 0.5000 1
```

Peak list (10 most intense, 2θ = 5–70°, in order of falling intensity)
| hkl | two_theta | intensity |
| --- | --- | --- |
| 1 1 6 | 45.2 | 1000 |
| 1 2 3 | 48.3 | 753 |
| 1 0 7 | 45.6 | 544 |
| 2 0 0 | 44.8 | 544 |
| 0 1 1 | 19.9 | 515 |
| 0 1 3 | 25.5 | 298 |
| 1 2 1 | 45.4 | 273 |
| 0 0 2 | 11.1 | 151 |
| 2 2 4 | 65.5 | 149 |
| 0 1 9 | 55.4 | 113 |